Structure and simulated PXRD pattern of Tb3In2Ga (a DFT-relaxed cell (GGA-PBE, Alexandria); Cu Ka).

Main lines, by intensity (10 to 80 degrees two-theta):
h k l  d [Å]  2θ/deg  Rel. int.
1 3 1  2.618  34.25  100
2 0 0  2.644  33.91  26
0 6 0  2.636  34.01  24
3 3 1  1.521  60.90  20
2 0 2  1.507  61.53  18
2 6 0  1.867  48.78  17
1 9 1  1.518  61.02  16
2 6 2  1.309  72.17  11
0 0 2  1.836  49.66  9
1 3 0  3.733  23.83  5

Crystal structure
Unit cell a=5.288 b=15.817 c=3.672 alpha=90.00 beta=90.00 gamma=90.00
Fractional positions:
Tb 0.250 0.093 0.000
Tb 0.250 0.407 0.000
Tb 0.250 0.750 0.001
Tb 0.750 0.250 0.999
Tb 0.750 0.593 0.000
Tb 0.750 0.907 0.000
In 0.250 0.578 0.500
In 0.250 0.922 0.500
In 0.750 0.078 0.500
In 0.750 0.422 0.500
Ga 0.250 0.250 0.499
Ga 0.750 0.750 0.501